[1]
For Tb5ErMg, a structure optimized by DFT (PBE) gives the computed X-ray diffraction stick pattern in this record (λ = 1.5418 Å (Cu Kα)).

Largest 8 diffraction maxima, in order of rising 2θ, 5° ≤ 2θ ≤ 70°:
Position (°2θ)	d [Å]	intensity
14.4	6.155	31.9
23.3	3.816	40.1
31.2	2.870	76.4
32.1	2.791	100.0
32.3	2.770	49.1
33.4	2.685	49.2
33.9	2.643	49.9
34.3	2.617	81.9

Atomic structure:
```
data_Tb5ErMg
_cell_length_a 6.4065
_cell_length_b 6.4065
_cell_length_c 12.4447
_cell_angle_alpha 97.26
_cell_angle_beta 97.26
_cell_angle_gamma 61.01
_space_group_name_H-M_alt 'P 1'
_space_group_IT_number 1
loop_
_space_group_symop_operation_xyz
'x,y,z'
loop_
_atom_site_label
_atom_site_type_symbol
_atom_site_fract_x
_atom_site_fract_y
_atom_site_fract_z
Tb1 Tb 0.1841 0.3000 0.6680
Tb2 Tb 0.2031 0.7969 0.7500
Tb3 Tb 0.2890 0.3916 0.9375
Tb4 Tb 0.3000 0.1841 0.1680
Tb5 Tb 0.3916 0.2890 0.4375
Tb6 Tb 0.6084 0.7110 0.5625
Tb7 Tb 0.7000 0.8159 0.8320
Tb8 Tb 0.7110 0.6084 0.0625
Tb9 Tb 0.7969 0.2031 0.2500
Tb10 Tb 0.8159 0.7000 0.3320
Er1 Er 0.2866 0.7134 0.2500
Er2 Er 0.7134 0.2866 0.7500
Mg1 Mg 0.0000 0.0000 0.0000
Mg2 Mg 0.0000 0.0000 0.5000
```

[2]
For Tb6Er2Mg, a structure optimized by DFT (PBE) gives the computed X-ray diffraction stick pattern in this record (λ = 1.5418 Å (Cu Kα)).

Largest 8 diffraction maxima, in order of rising 2θ, 5° ≤ 2θ ≤ 70°:
Position (°2θ)	d [Å]	intensity
31.1	2.872	100.0
35.8	2.511	17.3
36.3	2.475	33.2
51.9	1.763	24.1
52.3	1.750	11.8
61.4	1.510	14.5
62.1	1.495	28.1
64.9	1.436	12.4

Atomic structure:
```
data_Tb6Er2Mg
_cell_length_a 10.5021
_cell_length_b 10.5021
_cell_length_c 5.0219
_cell_angle_alpha 90.00
_cell_angle_beta 90.00
_cell_angle_gamma 90.00
_space_group_name_H-M_alt 'P 1'
_space_group_IT_number 1
loop_
_space_group_symop_operation_xyz
'x,y,z'
loop_
_atom_site_label
_atom_site_type_symbol
_atom_site_fract_x
_atom_site_fract_y
_atom_site_fract_z
Tb1 Tb 0.0006 0.3336 0.0000
Tb2 Tb 0.1651 0.8349 0.5000
Tb3 Tb 0.1664 0.5006 0.5000
Tb4 Tb 0.3336 0.0006 0.0000
Tb5 Tb 0.3349 0.3349 0.0000
Tb6 Tb 0.4994 0.8336 0.5000
Tb7 Tb 0.5006 0.1664 0.5000
Tb8 Tb 0.6651 0.6651 0.0000
Tb9 Tb 0.6664 0.9994 0.0000
Tb10 Tb 0.8336 0.4994 0.5000
Tb11 Tb 0.8349 0.1651 0.5000
Tb12 Tb 0.9994 0.6664 0.0000
Er1 Er 0.1676 0.1676 0.5000
Er2 Er 0.3324 0.6676 0.0000
Er3 Er 0.6676 0.3324 0.0000
Er4 Er 0.8324 0.8324 0.5000
Mg1 Mg 0.0000 0.0000 0.0000
Mg2 Mg 0.5000 0.5000 0.5000
```

[3]
For Tb2Er2Mg5, a structure optimized by DFT (PBE) gives the computed X-ray diffraction stick pattern in this record (λ = 1.5418 Å (Cu Kα)).

Largest 8 diffraction maxima, in order of rising 2θ, 5° ≤ 2θ ≤ 70°:
Position (°2θ)	d [Å]	intensity
15.7	5.631	76.6
28.2	3.165	21.2
30.3	2.950	100.0
31.8	2.816	31.9
32.5	2.759	51.0
38.0	2.370	55.6
50.3	1.813	23.2
51.2	1.783	20.1

Atomic structure:
```
data_Tb2Er2Mg5
_cell_length_a 9.5112
_cell_length_b 9.5112
_cell_length_c 9.5112
_cell_angle_alpha 85.56
_cell_angle_beta 107.39
_cell_angle_gamma 141.13
_space_group_name_H-M_alt 'P 1'
_space_group_IT_number 1
loop_
_space_group_symop_operation_xyz
'x,y,z'
loop_
_atom_site_label
_atom_site_type_symbol
_atom_site_fract_x
_atom_site_fract_y
_atom_site_fract_z
Tb1 Tb 0.0000 0.0000 0.0000
Tb2 Tb 0.0000 0.5000 0.5000
Tb3 Tb 0.0543 0.8152 0.7391
Tb4 Tb 0.0761 0.3152 0.2609
Er1 Er 0.5267 0.1534 0.6195
Er2 Er 0.5267 0.4072 0.8733
Er3 Er 0.5339 0.6534 0.1267
Er4 Er 0.5339 0.9072 0.3805
Mg1 Mg 0.0534 0.1675 0.5970
Mg2 Mg 0.0534 0.9565 0.3860
Mg3 Mg 0.1748 0.6607 0.0141
Mg4 Mg 0.4694 0.1628 0.1867
Mg5 Mg 0.4694 0.7827 0.8066
Mg6 Mg 0.5705 0.4565 0.4030
Mg7 Mg 0.5705 0.6675 0.6140
Mg8 Mg 0.6466 0.1607 0.9859
Mg9 Mg 0.9762 0.2827 0.8133
Mg10 Mg 0.9762 0.6628 0.1934
```

[4]
For Tb2Er6Mg, a structure optimized by DFT (PBE) gives the computed X-ray diffraction stick pattern in this record (λ = 1.5418 Å (Cu Kα)).

Largest 8 diffraction maxima, in order of rising 2θ, 5° ≤ 2θ ≤ 70°:
Position (°2θ)	d [Å]	intensity
29.3	3.047	43.5
31.2	2.867	68.7
32.5	2.755	43.8
34.2	2.623	100.0
43.4	2.087	25.2
52.0	1.759	35.6
58.6	1.576	32.8
61.9	1.499	39.2

Atomic structure:
```
data_Tb2Er6Mg
_cell_length_a 3.5186
_cell_length_b 3.5186
_cell_length_c 25.7744
_cell_angle_alpha 90.00
_cell_angle_beta 90.00
_cell_angle_gamma 120.00
_space_group_name_H-M_alt 'P 1'
_space_group_IT_number 1
loop_
_space_group_symop_operation_xyz
'x,y,z'
loop_
_atom_site_label
_atom_site_type_symbol
_atom_site_fract_x
_atom_site_fract_y
_atom_site_fract_z
Tb1 Tb 0.0000 0.0000 0.1735
Tb2 Tb 0.0000 0.0000 0.8265
Er1 Er 0.0000 0.0000 0.3937
Er2 Er 0.0000 0.0000 0.6063
Er3 Er 0.6667 0.3333 0.0651
Er4 Er 0.6667 0.3333 0.2854
Er5 Er 0.6667 0.3333 0.7146
Er6 Er 0.6667 0.3333 0.9349
Mg1 Mg 0.6667 0.3333 0.5000
```

[5]
For Tb7Er4Mg, a structure optimized by DFT (PBE) gives the computed X-ray diffraction stick pattern in this record (λ = 1.5418 Å (Cu Kα)).

Largest 8 diffraction maxima, in order of rising 2θ, 5° ≤ 2θ ≤ 70°:
Position (°2θ)	d [Å]	intensity
31.0	2.882	100.0
31.3	2.855	30.9
36.1	2.490	65.9
51.7	1.767	24.2
52.1	1.754	21.7
61.6	1.507	14.3
61.7	1.503	26.9
62.1	1.495	12.3

Atomic structure:
```
data_Tb7Er4Mg
_cell_length_a 3.5343
_cell_length_b 3.5343
_cell_length_c 34.2554
_cell_angle_alpha 90.00
_cell_angle_beta 90.00
_cell_angle_gamma 120.00
_space_group_name_H-M_alt 'P 1'
_space_group_IT_number 1
loop_
_space_group_symop_operation_xyz
'x,y,z'
loop_
_atom_site_label
_atom_site_type_symbol
_atom_site_fract_x
_atom_site_fract_y
_atom_site_fract_z
Tb1 Tb 0.0000 0.0000 0.0000
Tb2 Tb 0.0000 0.0000 0.2532
Tb3 Tb 0.0000 0.0000 0.7468
Tb4 Tb 0.3333 0.6667 0.1681
Tb5 Tb 0.3333 0.6667 0.4207
Tb6 Tb 0.6667 0.3333 0.5793
Tb7 Tb 0.6667 0.3333 0.8319
Er1 Er 0.3333 0.6667 0.6626
Er2 Er 0.3333 0.6667 0.9159
Er3 Er 0.6667 0.3333 0.0841
Er4 Er 0.6667 0.3333 0.3374
Mg1 Mg 0.0000 0.0000 0.5000
```

[6]
For TbEr2Mg3, a structure optimized by DFT (PBE) gives the computed X-ray diffraction stick pattern in this record (λ = 1.5418 Å (Cu Kα)).

Largest 8 diffraction maxima, in order of rising 2θ, 5° ≤ 2θ ≤ 70°:
Position (°2θ)	d [Å]	intensity
23.6	3.775	64.2
33.6	2.669	100.0
41.4	2.180	19.8
48.2	1.890	12.1
54.3	1.690	18.2
54.4	1.686	9.1
60.0	1.542	25.1
60.1	1.539	12.4

Atomic structure:
```
data_TbEr2Mg3
_cell_length_a 3.7792
_cell_length_b 3.7792
_cell_length_c 11.3003
_cell_angle_alpha 90.00
_cell_angle_beta 90.00
_cell_angle_gamma 90.00
_space_group_name_H-M_alt 'P 1'
_space_group_IT_number 1
loop_
_space_group_symop_operation_xyz
'x,y,z'
loop_
_atom_site_label
_atom_site_type_symbol
_atom_site_fract_x
_atom_site_fract_y
_atom_site_fract_z
Tb1 Tb 0.0000 0.0000 0.0000
Er1 Er 0.0000 0.0000 0.3344
Er2 Er 0.0000 0.0000 0.6656
Mg1 Mg 0.5000 0.5000 0.1695
Mg2 Mg 0.5000 0.5000 0.5000
Mg3 Mg 0.5000 0.5000 0.8305
```

[7]
For Tb6Er12Mg, a structure optimized by DFT (PBE) gives the computed X-ray diffraction stick pattern in this record (λ = 1.5418 Å (Cu Kα)).

Largest 8 diffraction maxima, in order of rising 2θ, 5° ≤ 2θ ≤ 70°:
Position (°2θ)	d [Å]	intensity
13.8	6.425	23.5
29.2	3.063	34.8
32.0	2.794	87.1
32.2	2.778	49.5
33.0	2.718	100.0
35.2	2.550	24.4
49.4	1.843	24.9
58.1	1.587	22.6

Atomic structure:
```
data_Tb6Er12Mg
_cell_length_a 8.5495
_cell_length_b 8.5495
_cell_length_c 8.5495
_cell_angle_alpha 97.45
_cell_angle_beta 97.45
_cell_angle_gamma 97.45
_space_group_name_H-M_alt 'P 1'
_space_group_IT_number 1
loop_
_space_group_symop_operation_xyz
'x,y,z'
loop_
_atom_site_label
_atom_site_type_symbol
_atom_site_fract_x
_atom_site_fract_y
_atom_site_fract_z
Tb1 Tb 0.0910 0.3638 0.3638
Tb2 Tb 0.3638 0.0910 0.3638
Tb3 Tb 0.3638 0.3638 0.0910
Tb4 Tb 0.6362 0.6362 0.9090
Tb5 Tb 0.6362 0.9090 0.6362
Tb6 Tb 0.9090 0.6362 0.6362
Er1 Er 0.0919 0.0919 0.6658
Er2 Er 0.0919 0.6658 0.0919
Er3 Er 0.2384 0.5000 0.7616
Er4 Er 0.2384 0.7616 0.5000
Er5 Er 0.3342 0.9081 0.9081
Er6 Er 0.5000 0.2384 0.7616
Er7 Er 0.5000 0.7616 0.2384
Er8 Er 0.6658 0.0919 0.0919
Er9 Er 0.7616 0.2384 0.5000
Er10 Er 0.7616 0.5000 0.2384
Er11 Er 0.9081 0.3342 0.9081
Er12 Er 0.9081 0.9081 0.3342
Mg1 Mg 0.5000 0.5000 0.5000
```

[8]
For Tb4Er6Mg, a structure optimized by DFT (PBE) gives the computed X-ray diffraction stick pattern in this record (λ = 1.5418 Å (Cu Kα)).

Largest 8 diffraction maxima, in order of rising 2θ, 5° ≤ 2θ ≤ 70°:
Position (°2θ)	d [Å]	intensity
22.2	4.013	32.0
28.8	3.099	42.0
29.7	3.013	43.3
31.5	2.843	100.0
31.8	2.815	35.6
35.0	2.564	68.8
41.1	2.194	57.3
59.3	1.558	26.5

Atomic structure:
```
data_Tb4Er6Mg
_cell_length_a 9.5988
_cell_length_b 9.5988
_cell_length_c 9.5988
_cell_angle_alpha 140.73
_cell_angle_beta 140.73
_cell_angle_gamma 56.74
_space_group_name_H-M_alt 'P 1'
_space_group_IT_number 1
loop_
_space_group_symop_operation_xyz
'x,y,z'
loop_
_atom_site_label
_atom_site_type_symbol
_atom_site_fract_x
_atom_site_fract_y
_atom_site_fract_z
Tb1 Tb 0.1893 0.1893 0.6492
Tb2 Tb 0.4599 0.8107 0.0000
Tb3 Tb 0.5401 0.5401 0.3508
Tb4 Tb 0.8107 0.4599 0.0000
Er1 Er 0.0000 0.5000 0.5000
Er2 Er 0.0152 0.6489 0.0000
Er3 Er 0.3511 0.3511 0.3663
Er4 Er 0.5000 0.0000 0.5000
Er5 Er 0.6489 0.0152 0.0000
Er6 Er 0.9848 0.9848 0.6337
Mg1 Mg 0.0000 0.0000 0.0000
```

[9]
For TbEr2Mg6, a structure optimized by DFT (PBE) gives the computed X-ray diffraction stick pattern in this record (λ = 1.5418 Å (Cu Kα)).

Largest 8 diffraction maxima, in order of rising 2θ, 5° ≤ 2θ ≤ 70°:
Position (°2θ)	d [Å]	intensity
19.6	4.524	100.0
33.8	2.651	99.5
34.3	2.612	61.7
39.9	2.262	16.8
44.4	2.041	16.5
49.0	1.860	35.1
61.2	1.515	35.9
67.6	1.386	17.0

Atomic structure:
```
data_TbEr2Mg6
_cell_length_a 9.0473
_cell_length_b 9.0473
_cell_length_c 3.2715
_cell_angle_alpha 90.00
_cell_angle_beta 90.00
_cell_angle_gamma 120.00
_space_group_name_H-M_alt 'P 1'
_space_group_IT_number 1
loop_
_space_group_symop_operation_xyz
'x,y,z'
loop_
_atom_site_label
_atom_site_type_symbol
_atom_site_fract_x
_atom_site_fract_y
_atom_site_fract_z
Tb1 Tb 0.0000 0.0000 0.0000
Er1 Er 0.3333 0.6667 0.0000
Er2 Er 0.6667 0.3333 0.0000
Mg1 Mg 0.0000 0.3349 0.5000
Mg2 Mg 0.0000 0.6651 0.5000
Mg3 Mg 0.3349 0.0000 0.5000
Mg4 Mg 0.3349 0.3349 0.5000
Mg5 Mg 0.6651 0.0000 0.5000
Mg6 Mg 0.6651 0.6651 0.5000
```

[10]
For Tb2Y2ErMg, a structure optimized by DFT (PBE) gives the computed X-ray diffraction stick pattern in this record (λ = 1.5418 Å (Cu Kα)).

Largest 8 diffraction maxima, in order of rising 2θ, 5° ≤ 2θ ≤ 70°:
Position (°2θ)	d [Å]	intensity
11.4	7.737	100.0
18.8	4.718	81.0
30.3	2.946	97.8
31.2	2.868	65.7
34.9	2.568	46.1
36.9	2.435	56.7
38.2	2.358	71.5
59.1	1.563	25.2

Atomic structure:
```
data_Tb2Y2ErMg
_cell_length_a 10.3090
_cell_length_b 11.7078
_cell_length_c 3.6129
_cell_angle_alpha 90.00
_cell_angle_beta 90.00
_cell_angle_gamma 90.00
_space_group_name_H-M_alt 'P 1'
_space_group_IT_number 1
loop_
_space_group_symop_operation_xyz
'x,y,z'
loop_
_atom_site_label
_atom_site_type_symbol
_atom_site_fract_x
_atom_site_fract_y
_atom_site_fract_z
Tb1 Tb 0.0893 0.2235 0.0000
Tb2 Tb 0.4107 0.7235 0.5000
Tb3 Tb 0.5893 0.2765 0.5000
Tb4 Tb 0.9107 0.7765 0.0000
Y1 Y 0.2490 0.4284 0.5000
Y2 Y 0.2510 0.9284 0.0000
Y3 Y 0.7490 0.0716 0.0000
Y4 Y 0.7510 0.5716 0.5000
Er1 Er 0.0000 0.0000 0.5000
Er2 Er 0.5000 0.5000 0.0000
Mg1 Mg 0.0000 0.5000 0.0000
Mg2 Mg 0.5000 0.0000 0.5000
```

[11]
For Er3Mg2Tc2, a structure optimized by DFT (PBE) gives the computed X-ray diffraction stick pattern in this record (λ = 1.5418 Å (Cu Kα)).

Largest 8 diffraction maxima, in order of rising 2θ, 5° ≤ 2θ ≤ 70°:
Position (°2θ)	d [Å]	intensity
8.4	10.482	100.0
22.6	3.935	33.1
31.4	2.851	86.3
33.6	2.669	87.1
33.7	2.661	32.3
37.5	2.399	36.1
37.9	2.373	86.4
57.5	1.602	37.2

Atomic structure:
```
data_Er3Mg2Tc2
_cell_length_a 4.0059
_cell_length_b 20.9636
_cell_length_c 4.1366
_cell_angle_alpha 90.00
_cell_angle_beta 90.00
_cell_angle_gamma 90.00
_space_group_name_H-M_alt 'P 1'
_space_group_IT_number 1
loop_
_space_group_symop_operation_xyz
'x,y,z'
loop_
_atom_site_label
_atom_site_type_symbol
_atom_site_fract_x
_atom_site_fract_y
_atom_site_fract_z
Er1 Er 0.0000 0.0000 0.0000
Er2 Er 0.0000 0.1746 0.0000
Er3 Er 0.0000 0.8254 0.0000
Er4 Er 0.5000 0.3254 0.0000
Er5 Er 0.5000 0.5000 0.0000
Er6 Er 0.5000 0.6746 0.0000
Mg1 Mg 0.0000 0.4179 0.5000
Mg2 Mg 0.0000 0.5821 0.5000
Mg3 Mg 0.5000 0.0821 0.5000
Mg4 Mg 0.5000 0.9179 0.5000
Tc1 Tc 0.0000 0.2798 0.5000
Tc2 Tc 0.0000 0.7202 0.5000
Tc3 Tc 0.5000 0.2202 0.5000
Tc4 Tc 0.5000 0.7798 0.5000
```

[12]
For Er3MgTl3Te8, a structure optimized by DFT (PBE) gives the computed X-ray diffraction stick pattern in this record (λ = 1.5418 Å (Cu Kα)).

Largest 8 diffraction maxima, in order of rising 2θ, 5° ≤ 2θ ≤ 70°:
Position (°2θ)	d [Å]	intensity
13.8	6.398	13.5
27.9	3.199	100.0
38.0	2.369	38.0
41.7	2.168	35.7
50.9	1.795	19.1
57.6	1.600	11.3
62.6	1.484	13.7
67.8	1.383	16.1

Atomic structure:
```
data_Er3MgTl3Te8
_cell_length_a 8.6710
_cell_length_b 8.6710
_cell_length_c 9.5556
_cell_angle_alpha 116.93
_cell_angle_beta 116.93
_cell_angle_gamma 60.05
_space_group_name_H-M_alt 'P 1'
_space_group_IT_number 1
loop_
_space_group_symop_operation_xyz
'x,y,z'
loop_
_atom_site_label
_atom_site_type_symbol
_atom_site_fract_x
_atom_site_fract_y
_atom_site_fract_z
Er1 Er 0.0000 0.0000 0.0000
Er2 Er 0.0000 0.5000 0.0000
Er3 Er 0.5000 0.0000 0.0000
Mg1 Mg 0.5000 0.5000 0.0000
Tl1 Tl 0.0000 0.5000 0.5000
Tl2 Tl 0.5000 0.0000 0.5000
Tl3 Tl 0.5000 0.5000 0.5000
Te1 Te 0.2386 0.2386 0.2159
Te2 Te 0.2407 0.7346 0.2100
Te3 Te 0.2654 0.7593 0.7900
Te4 Te 0.2656 0.2656 0.7901
Te5 Te 0.7344 0.7344 0.2099
Te6 Te 0.7346 0.2407 0.2100
Te7 Te 0.7593 0.2654 0.7900
Te8 Te 0.7614 0.7614 0.7841
```

[13]
For Er8Th4Mg, a structure optimized by DFT (PBE) gives the computed X-ray diffraction stick pattern in this record (λ = 1.5418 Å (Cu Kα)).

Largest 8 diffraction maxima, in order of rising 2θ, 5° ≤ 2θ ≤ 70°:
Position (°2θ)	d [Å]	intensity
28.5	3.133	34.0
30.3	2.955	37.3
31.4	2.850	100.0
33.0	2.713	58.5
39.4	2.288	31.2
50.1	1.821	31.2
53.4	1.716	23.1
59.6	1.550	30.8

Atomic structure:
```
data_Er8Th4Mg
_cell_length_a 9.8109
_cell_length_b 9.8109
_cell_length_c 9.8109
_cell_angle_alpha 43.59
_cell_angle_beta 43.59
_cell_angle_gamma 43.59
_space_group_name_H-M_alt 'P 1'
_space_group_IT_number 1
loop_
_space_group_symop_operation_xyz
'x,y,z'
loop_
_atom_site_label
_atom_site_type_symbol
_atom_site_fract_x
_atom_site_fract_y
_atom_site_fract_z
Er1 Er 0.2010 0.7478 0.7478
Er2 Er 0.2189 0.2189 0.2189
Er3 Er 0.2522 0.2522 0.7990
Er4 Er 0.2522 0.7990 0.2522
Er5 Er 0.7478 0.2010 0.7478
Er6 Er 0.7478 0.7478 0.2010
Er7 Er 0.7811 0.7811 0.7811
Er8 Er 0.7990 0.2522 0.2522
Th1 Th 0.0000 0.0000 0.0000
Th2 Th 0.0000 0.5000 0.5000
Th3 Th 0.5000 0.0000 0.5000
Th4 Th 0.5000 0.5000 0.0000
Mg1 Mg 0.5000 0.5000 0.5000
```